This entry pairs a crystal structure of BaYCo4O7 with its theoretical X-ray diffraction stick pattern. Radiation: Cu Kα X-rays. Structure: a crystal structure in Alexandria, relaxed with PBE+U.

Crystal structure
```
BaYCo4O7
1.0
6.3989 0.0000 0.0000
-3.1994 5.5416 0.0000
0.0000 0.0000 10.4238
Ba Y Co O
2 2 8 14
Cartesian
0.0000 3.6944 0.0000
3.1995 1.8472 5.2119
0.0000 3.6944 4.1435
3.1995 1.8472 9.3554
0.0000 0.0000 4.8223
0.0000 0.0000 10.0342
0.0000 1.8771 7.3761
-1.5738 4.6030 7.3761
1.6257 0.9386 2.1641
1.5738 4.6030 7.3761
4.7732 0.9386 2.1641
3.1995 3.6645 2.1641
0.0000 0.0000 2.7492
0.0000 0.0000 7.9611
-1.5131 2.8208 8.1327
0.0000 1.8522 5.4587
-1.5954 4.6155 5.4587
1.6040 0.9261 0.2468
1.5131 2.8208 8.1327
0.0000 5.4415 8.1327
3.1994 0.1001 2.9208
1.6864 2.7208 2.9208
1.5954 4.6155 5.4587
4.7949 0.9261 0.2468
3.1994 3.6894 0.2468
4.7125 2.7208 2.9208
```

Top 10 peaks for 2θ = 5–70°, in order of falling intensity:
d [Å]  2θ (°)  intensity  h k l
2.727  32.85  100  1 1 2
2.678  33.46  71  2 0 1
2.944  30.36  58  1 0 3
3.199  27.89  39  1 1 0
1.666  55.13  37  2 0 5
1.600  57.62  36  2 2 0
1.741  52.56  26  3 0 2
1.794  50.91  26  2 1 3
2.606  34.41  20  0 0 4
1.363  68.87  14  2 2 4